Entry 1:
This entry pairs a crystal structure of Ac4PmHo with its theoretical powder X-ray diffraction pattern. Radiation: Cu Kα, 1.54184 Å. Structure: a cell relaxed with PBE.
No peak broadening, texture or thermal motion is included.

Largest 6 diffraction maxima, low angle first, 15° ≤ 2θ ≤ 90°:
2θ = 28.62°, intensity 30; 2θ = 29.14°, intensity 100; 2θ = 29.34°, intensity 24; 2θ = 41.45°, intensity 19; 2θ = 51.01°, intensity 22; 2θ = 57.94°, intensity 19

a b c (Å): 3.7235 6.2389 10.5720
angles (deg): 90.00 90.00 90.00
Positions (direct):
Ac 0.0000 0.0000 0.1682
Ac 0.0000 0.0000 0.8318
Ac 0.0000 0.5000 0.3296
Ac 0.0000 0.5000 0.6704
Pm 0.5000 0.0000 0.5000
Ho 0.5000 0.5000 0.0000

Entry 2:
This entry pairs a crystal structure of Dy4Er3Au4 with its theoretical powder X-ray diffraction pattern. Radiation: Cu Kα, 1.54184 Å. Structure: a cell relaxed with PBE.
No peak broadening, texture or thermal motion is included.

Largest 6 diffraction maxima, low angle first, 15° ≤ 2θ ≤ 90°:
2θ = 31.42°, intensity 77; 2θ = 33.42°, intensity 100; 2θ = 33.55°, intensity 63; 2θ = 37.44°, intensity 40; 2θ = 39.72°, intensity 54; 2θ = 60.71°, intensity 34

a b c (Å): 9.8077 9.8077 9.8077
angles (deg): 158.02 124.80 60.14
Positions (direct):
Dy 0.0246 0.8380 0.1866
Dy 0.3486 0.1620 0.1866
Dy 0.6514 0.8380 0.8134
Dy 0.9754 0.1620 0.8134
Er 0.0000 0.5000 0.5000
Er 0.3982 0.3982 0.0000
Er 0.6018 0.6018 0.0000
Au 0.2553 0.7553 0.5000
Au 0.3151 0.0000 0.3151
Au 0.6849 0.0000 0.6849
Au 0.7447 0.2447 0.5000

Entry 3:
This entry pairs a crystal structure of Li3B8C8 with its theoretical powder X-ray diffraction pattern. Radiation: Cu Kα, 1.54184 Å. Structure: a cell relaxed with PBE.
No peak broadening, texture or thermal motion is included.

Largest 6 diffraction maxima, low angle first, 15° ≤ 2θ ≤ 90°:
2θ = 22.23°, intensity 100; 2θ = 29.78°, intensity 28; 2θ = 37.87°, intensity 19; 2θ = 45.16°, intensity 16; 2θ = 47.02°, intensity 10; 2θ = 53.46°, intensity 19

a b c (Å): 12.1601 12.1601 4.7433
angles (deg): 96.71 96.71 12.98
Positions (direct):
Li 0.0000 0.0000 0.0000
Li 0.4997 0.4997 0.4995
Li 0.8566 0.8566 0.9011
B 0.0747 0.0747 0.7153
B 0.2053 0.2053 0.4698
B 0.2766 0.2766 0.0127
B 0.4272 0.4272 0.7856
B 0.5748 0.5748 0.2146
B 0.7060 0.7060 0.9709
B 0.7781 0.7781 0.5086
B 0.9247 0.9247 0.2893
C 0.0727 0.0727 0.3753
C 0.2090 0.2090 0.8037
C 0.2780 0.2780 0.6800
C 0.4253 0.4253 0.1209
C 0.5726 0.5726 0.8755
C 0.7080 0.7080 0.3038
C 0.7767 0.7767 0.1802
C 0.9280 0.9280 0.6231

Entry 4:
This entry pairs a crystal structure of Bi2B3O9 with its theoretical powder X-ray diffraction pattern. Radiation: Cu Kα, 1.54184 Å. Structure: a cell relaxed with PBE.
No peak broadening, texture or thermal motion is included.

Largest 6 diffraction maxima, low angle first, 15° ≤ 2θ ≤ 90°:
2θ = 16.24°, intensity 55; 2θ = 19.15°, intensity 44; 2θ = 25.20°, intensity 72; 2θ = 28.32°, intensity 54; 2θ = 34.41°, intensity 100; 2θ = 48.77°, intensity 41

a b c (Å): 6.3025 6.3025 9.2716
angles (deg): 90.00 90.00 120.00
Positions (direct):
Bi 0.3333 0.6667 0.0000
Bi 0.3333 0.6667 0.5000
Bi 0.6667 0.3333 0.0000
Bi 0.6667 0.3333 0.5000
B 0.0000 0.2311 0.2500
B 0.0000 0.7689 0.7500
B 0.2311 0.0000 0.2500
B 0.2311 0.2311 0.7500
B 0.7689 0.0000 0.7500
B 0.7689 0.7689 0.2500
O 0.0000 0.2245 0.7500
O 0.0000 0.3676 0.1153
O 0.0000 0.3676 0.3847
O 0.0000 0.6324 0.6153
O 0.0000 0.6324 0.8847
O 0.0000 0.7755 0.2500
O 0.2245 0.0000 0.7500
O 0.2245 0.2245 0.2500
O 0.3676 0.0000 0.1153
O 0.3676 0.0000 0.3847
O 0.3676 0.3676 0.6153
O 0.3676 0.3676 0.8847
O 0.6324 0.0000 0.6153
O 0.6324 0.0000 0.8847
O 0.6324 0.6324 0.1153
O 0.6324 0.6324 0.3847
O 0.7755 0.0000 0.2500
O 0.7755 0.7755 0.7500

Entry 5:
This entry pairs a crystal structure of Ac14PrNd with its theoretical powder X-ray diffraction pattern. Radiation: Cu Kα, 1.54184 Å. Structure: a cell relaxed with PBE.
No peak broadening, texture or thermal motion is included.

Largest 6 diffraction maxima, low angle first, 15° ≤ 2θ ≤ 90°:
2θ = 27.56°, intensity 100; 2θ = 31.79°, intensity 17; 2θ = 32.00°, intensity 34; 2θ = 45.73°, intensity 26; 2θ = 54.09°, intensity 16; 2θ = 54.37°, intensity 32

a b c (Å): 11.2592 7.9098 7.9098
angles (deg): 90.00 90.00 90.00
Positions (direct):
Ac 0.0000 0.0000 0.0000
Ac 0.0000 0.0011 0.4987
Ac 0.0000 0.4987 0.0011
Ac 0.0000 0.4998 0.4998
Ac 0.2536 0.7502 0.7502
Ac 0.2551 0.2498 0.7497
Ac 0.2551 0.7497 0.2498
Ac 0.2565 0.2494 0.2494
Ac 0.5000 0.5013 0.9981
Ac 0.5000 0.9981 0.5013
Ac 0.7435 0.2494 0.2494
Ac 0.7449 0.2498 0.7497
Ac 0.7449 0.7497 0.2498
Ac 0.7464 0.7502 0.7502
Pr 0.5000 0.4997 0.4997
Nd 0.5000 0.9997 0.9997

Entry 6:
This entry pairs a crystal structure of BaScTlBr6 with its theoretical powder X-ray diffraction pattern. Radiation: Cu Kα, 1.54184 Å. Structure: a cell relaxed with PBE.
No peak broadening, texture or thermal motion is included.

Largest 6 diffraction maxima, low angle first, 15° ≤ 2θ ≤ 90°:
2θ = 18.60°, intensity 100; 2θ = 26.35°, intensity 84; 2θ = 29.53°, intensity 29; 2θ = 35.22°, intensity 82; 2θ = 37.58°, intensity 38; 2θ = 39.91°, intensity 41

a b c (Å): 7.8259 7.8259 13.4303
angles (deg): 90.00 90.00 120.00
Positions (direct):
Ba 0.3333 0.6667 0.2500
Ba 0.6667 0.3333 0.7500
Sc 0.3333 0.6667 0.7500
Sc 0.6667 0.3333 0.2500
Tl 0.0000 0.0000 0.0000
Tl 0.0000 0.0000 0.5000
Br 0.0536 0.3903 0.6332
Br 0.0536 0.6632 0.8668
Br 0.3368 0.3903 0.8668
Br 0.3368 0.9464 0.6332
Br 0.3903 0.0536 0.1332
Br 0.3903 0.3368 0.3668
Br 0.6097 0.6632 0.6332
Br 0.6097 0.9464 0.8668
Br 0.6632 0.0536 0.3668
Br 0.6632 0.6097 0.1332
Br 0.9464 0.3368 0.1332
Br 0.9464 0.6097 0.3668

Entry 7:
This entry pairs a crystal structure of Ni3HgN with its theoretical powder X-ray diffraction pattern. Radiation: Cu Kα, 1.54184 Å. Structure: a cell relaxed with PBE.
No peak broadening, texture or thermal motion is included.

Largest 6 diffraction maxima, low angle first, 15° ≤ 2θ ≤ 90°:
2θ = 29.12°, intensity 55; 2θ = 30.44°, intensity 100; 2θ = 38.58°, intensity 93; 2θ = 46.38°, intensity 61; 2θ = 50.77°, intensity 52; 2θ = 60.36°, intensity 43

a b c (Å): 7.1929 7.1929 7.1929
angles (deg): 60.00 60.00 60.00
Positions (direct):
Ni 0.0560 0.0560 0.6940
Ni 0.0560 0.6940 0.0560
Ni 0.0560 0.6940 0.6940
Ni 0.3060 0.3060 0.9440
Ni 0.3060 0.9440 0.3060
Ni 0.3060 0.9440 0.9440
Ni 0.6940 0.0560 0.0560
Ni 0.6940 0.0560 0.6940
Ni 0.6940 0.6940 0.0560
Ni 0.9440 0.3060 0.3060
Ni 0.9440 0.3060 0.9440
Ni 0.9440 0.9440 0.3060
Hg 0.0000 0.5000 0.5000
Hg 0.5000 0.0000 0.5000
Hg 0.5000 0.5000 0.0000
Hg 0.5000 0.5000 0.5000
N 0.0000 0.0000 0.0000
N 0.0000 0.0000 0.5000
N 0.0000 0.5000 0.0000
N 0.5000 0.0000 0.0000

Entry 8:
This entry pairs a crystal structure of Tb6Dy with its theoretical powder X-ray diffraction pattern. Radiation: Cu Kα, 1.54184 Å. Structure: a cell relaxed with PBE.
No peak broadening, texture or thermal motion is included.

Largest 6 diffraction maxima, low angle first, 15° ≤ 2θ ≤ 90°:
2θ = 28.73°, intensity 100; 2θ = 31.24°, intensity 79; 2θ = 31.95°, intensity 60; 2θ = 32.55°, intensity 30; 2θ = 35.01°, intensity 79; 2θ = 55.97°, intensity 54

a b c (Å): 6.4775 6.4775 11.0036
angles (deg): 90.00 90.00 90.00
Positions (direct):
Tb 0.0821 0.5821 0.1383
Tb 0.0821 0.9179 0.8617
Tb 0.2500 0.2500 0.3610
Tb 0.2500 0.2500 0.6390
Tb 0.4179 0.5821 0.8617
Tb 0.4179 0.9179 0.1383
Tb 0.5821 0.0821 0.8617
Tb 0.5821 0.4179 0.1383
Tb 0.7500 0.7500 0.3610
Tb 0.7500 0.7500 0.6390
Tb 0.9179 0.0821 0.1383
Tb 0.9179 0.4179 0.8617
Dy 0.2500 0.7500 0.5000
Dy 0.7500 0.2500 0.5000